1.
Simulated X-ray powder pattern of NaTb3Pm2Se6 for Cu Kα, 1.54184 Å, from a cell relaxed with GGA-PBE.
Kinematic intensities with the Lorentz-polarization factor, no thermal factor.

Largest 6 diffraction maxima, in order of falling intensity, 5° ≤ 2θ ≤ 70°:
2theta	I (rel.)
30.5	100
43.5	25
43.7	24
54.3	13
43.4	12
43.9	12

Atomic structure:
```
NaTb3Pm2Se6
1.0
9.0665 -2.0630 0.0000
9.0665 2.0630 0.0000
-1.9573 0.0000 8.1108
Na Tb Pm Se
1 3 2 6
direct
0.0000 0.0000 0.0000
0.0000 0.0000 0.5000
0.3342 0.3342 0.1727
0.6658 0.6658 0.8273
0.3299 0.3299 0.6573
0.6701 0.6701 0.3427
0.1626 0.1626 0.5891
0.1680 0.1680 0.0773
0.4995 0.4995 0.2539
0.5005 0.5005 0.7461
0.8320 0.8320 0.9227
0.8374 0.8374 0.4109
```

***

2.
Simulated X-ray powder pattern of NaPm2Sn6 for Cu Kα, 1.54184 Å, from a cell relaxed with GGA-PBE.
Kinematic intensities with the Lorentz-polarization factor, no thermal factor.

Largest 6 diffraction maxima, in order of falling intensity, 5° ≤ 2θ ≤ 70°:
2theta	I (rel.)
10.8	100
33.4	85
32.7	84
27.4	58
41.1	35
35.7	34

Atomic structure:
```
NaPm2Sn6
1.0
7.0695 -5.1822 0.0000
7.0695 5.1822 0.0000
-1.3498 0.0000 4.1780
Na Pm Sn
1 2 6
direct
0.0000 0.0000 0.0000
0.3578 0.3578 0.3757
0.6421 0.6421 0.6567
0.0239 0.6089 0.8343
0.3522 0.6477 0.0161
0.3910 0.9760 0.2031
0.6089 0.0239 0.8343
0.6477 0.3522 0.0161
0.9760 0.3910 0.2031
```

***

3.
Simulated X-ray powder pattern of NaPm3Sn2 for Cu Kα, 1.54184 Å, from a cell relaxed with GGA-PBE.
Kinematic intensities with the Lorentz-polarization factor, no thermal factor.

Largest 6 diffraction maxima, in order of falling intensity, 5° ≤ 2θ ≤ 70°:
2theta	I (rel.)
33.4	100
13.1	95
30.6	75
26.3	38
46.4	23
63.7	18

Atomic structure:
```
NaPm3Sn2
1.0
-4.3946 6.7827 3.8995
4.3946 -6.7827 3.8995
4.3946 6.7827 -3.8995
Na Pm Sn
2 6 4
direct
0.4983 0.2483 0.2500
0.5017 0.7517 0.7500
0.0000 0.0000 0.5000
0.0000 0.2503 0.2503
0.0000 0.5000 0.0000
0.0000 0.7497 0.7497
0.5000 0.2503 0.7503
0.5000 0.7497 0.2497
0.1658 0.2495 0.9163
0.1667 0.7505 0.4163
0.8333 0.2495 0.5837
0.8342 0.7505 0.0837
```

***

4.
Simulated X-ray powder pattern of NaPmSn4 for Cu Kα, 1.54184 Å, from a cell relaxed with GGA-PBE.
Kinematic intensities with the Lorentz-polarization factor, no thermal factor.

Largest 6 diffraction maxima, in order of falling intensity, 5° ≤ 2θ ≤ 70°:
2theta	I (rel.)
7.7	100
33.6	94
33.2	72
36.2	43
53.5	28
38.1	28

Atomic structure:
```
NaPmSn4
1.0
2.3640 -11.4829 0.0000
2.3640 11.4829 0.0000
0.0000 0.0000 6.5138
Na Pm Sn
2 2 8
direct
0.2282 0.7718 0.7500
0.7718 0.2282 0.2500
0.0634 0.9366 0.2500
0.9366 0.0634 0.7500
0.0832 0.9168 0.7500
0.3539 0.6461 0.5066
0.3539 0.6461 0.9934
0.5000 0.5000 0.0000
0.5000 0.5000 0.5000
0.6461 0.3539 0.0066
0.6461 0.3539 0.4934
0.9168 0.0832 0.2500
```